The following is a calculated powder diffraction line list of Pr2Dy2I5N. It was derived from a crystal structure in OQMD, relaxed with GGA-PBE, using Cu Kα.

Principal peaks in the range 2θ = 15–90°, in order of rising 2θ:
- 3.152 Å, 28.31°, rel. 348
- 3.028 Å, 29.50°, rel. 177
- 2.962 Å, 30.17°, rel. 1000
- 2.857 Å, 31.31°, rel. 134
- 2.749 Å, 32.57°, rel. 398
- 2.364 Å, 38.07°, rel. 119
- 2.201 Å, 41.01°, rel. 159
- 2.165 Å, 41.71°, rel. 220
- 2.152 Å, 41.99°, rel. 208
- 2.002 Å, 45.29°, rel. 198

Structure:
```
Pr2Dy2I5N
1.0
9.690 -2.002 0.000
9.690 2.002 0.000
-1.918 0.000 8.592
Pr Dy I N
2 2 5 1
direct
0.001 0.001 0.305 Pr
0.999 0.999 0.695 Pr
0.377 0.377 0.439 Dy
0.623 0.623 0.561 Dy
0.167 0.167 0.829 I
0.170 0.170 0.335 I
0.500 0.500 0.000 I
0.830 0.830 0.665 I
0.833 0.833 0.171 I
0.500 0.500 0.500 N
```

The following is a calculated powder diffraction line list of SbAsPd5. It was derived from a crystal structure in OQMD, relaxed with GGA-PBE, using Cu Kα.

Principal peaks in the range 2θ = 15–90°, in order of rising 2θ:
- 2.521 Å, 35.62°, rel. 258
- 2.376 Å, 37.86°, rel. 777
- 2.183 Å, 41.36°, rel. 1000
- 1.862 Å, 48.93°, rel. 108
- 1.608 Å, 57.31°, rel. 165
- 1.455 Å, 63.98°, rel. 170
- 1.260 Å, 75.42°, rel. 99
- 1.241 Å, 76.80°, rel. 101
- 1.194 Å, 80.45°, rel. 138
- 1.188 Å, 80.90°, rel. 105

Structure:
```
SbAsPd5
1.0
0.000 6.174 6.174
6.174 0.000 6.174
6.174 6.174 0.000
Sb As Pd
4 4 20
direct
0.000 0.000 0.000 Sb
0.000 0.000 0.500 Sb
0.000 0.500 0.000 Sb
0.500 0.000 0.000 Sb
0.000 0.500 0.500 As
0.500 0.000 0.500 As
0.500 0.500 0.000 As
0.500 0.500 0.500 As
0.144 0.785 0.785 Pd
0.161 0.161 0.589 Pd
0.161 0.589 0.161 Pd
0.161 0.589 0.589 Pd
0.215 0.215 0.215 Pd
0.215 0.215 0.856 Pd
0.215 0.856 0.215 Pd
0.411 0.411 0.839 Pd
0.411 0.839 0.411 Pd
0.411 0.839 0.839 Pd
0.589 0.161 0.161 Pd
0.589 0.161 0.589 Pd
0.589 0.589 0.161 Pd
0.785 0.144 0.785 Pd
0.785 0.785 0.144 Pd
0.785 0.785 0.785 Pd
0.839 0.411 0.411 Pd
0.839 0.411 0.839 Pd
0.839 0.839 0.411 Pd
0.856 0.215 0.215 Pd
```

The following is a calculated powder diffraction line list of Pr2GePt. It was derived from a crystal structure in OQMD, relaxed with GGA-PBE, using Cu Kα.

Principal peaks in the range 2θ = 15–90°, in order of rising 2θ:
- 3.224 Å, 27.67°, rel. 331
- 2.922 Å, 30.60°, rel. 880
- 2.779 Å, 32.22°, rel. 651
- 2.622 Å, 34.19°, rel. 976
- 2.385 Å, 37.72°, rel. 346
- 2.350 Å, 38.30°, rel. 1000
- 2.202 Å, 40.98°, rel. 446
- 1.855 Å, 49.11°, rel. 266
- 1.726 Å, 53.06°, rel. 320
- 1.419 Å, 65.83°, rel. 221

Structure:
```
Pr2GePt
1.0
4.405 0.000 0.000
0.000 5.946 0.000
0.000 0.000 7.810
Pr Ge Pt
4 2 2
direct
0.000 0.108 0.000 Pr
0.000 0.892 0.500 Pr
0.500 0.380 0.358 Pr
0.500 0.620 0.858 Pr
0.000 0.388 0.639 Ge
0.000 0.612 0.139 Ge
0.500 0.108 0.722 Pt
0.500 0.892 0.222 Pt
```